Structure and computed powder X-ray diffraction pattern of NdZnPd4 (a crystal structure in Alexandria, relaxed with GGA-PBE; CuKα).

Top 6 peaks for 10° ≤ 2θ ≤ 90°, sorted by position:
index  2θ/deg  I (rel.)
2 1 1  34.83  948
1 1 2  35.70  447
0 0 3  38.45  371
2 1 2  41.53  1000
0 2 0  44.07  425
0 2 3  59.89  200

Structure:
```
data_NdZnPd4
_chemical_formula_sum 'Nd2 Zn2 Pd8'
_space_group_name_H-M_alt 'P m m a'
_space_group_IT_number 51
_cell_length_a 7.4933
_cell_length_b 4.1095
_cell_length_c 7.0236
_cell_angle_alpha 90.00
_cell_angle_beta 90.00
_cell_angle_gamma 90.00
loop_
_space_group_symop_operation_xyz
'x,y,z'
'-x,-y,-z'
'-x+1/2,-y,z'
'x+1/2,y,-z'
'x+1/2,-y,-z'
'-x+1/2,y,z'
'-x,y,-z'
'x,-y,z'
loop_
_atom_site_label
_atom_site_type_symbol
_atom_site_fract_x
_atom_site_fract_y
_atom_site_fract_z
_atom_site_occupancy
Nd1 Nd 0.2500 0.0000 0.1558 1
Zn1 Zn 0.2500 0.0000 0.7300 1
Pd1 Pd 0.0000 0.0000 0.5000 1
Pd2 Pd 0.0512 0.5000 0.8085 1
Pd3 Pd 0.2500 0.5000 0.4622 1
```